1.
Starting from a GGA-PBE-relaxed structure, the powder X-ray diffraction pattern of Cs4RbF5 was simulated for Cu Kα X-rays.
Neutral-atom scattering factors, no anomalous dispersion.

Main lines, low angle first (2θ from 10° to 90°):
- 2θ = 25.59°, I 98.3
- 2θ = 29.63°, I 100.0
- 2θ = 42.40°, I 72.2
- 2θ = 50.15°, I 32.1
- 2θ = 50.26°, I 15.9
- 2θ = 52.58°, I 24.8
- 2θ = 67.74°, I 20.7
- 2θ = 69.70°, I 20.7
- 2θ = 69.86°, I 10.5
- 2θ = 77.52°, I 15.2
- 2θ = 77.65°, I 7.7
- 2θ = 83.21°, I 12.4

Structure:
Cell lengths 7.3880, 7.3880, 7.3880 Å; angles 99.55, 99.55, 131.93 degrees
Atoms (fractional coordinates):
Cs 0.0992 0.2983 0.3975
Cs 0.2983 0.9008 0.1991
Cs 0.7017 0.0992 0.8009
Cs 0.9008 0.7017 0.6025
Rb 0.5000 0.5000 0.0000
F 0.2106 0.5958 0.8065
F 0.4041 0.2106 0.6148
F 0.5958 0.7893 0.3852
F 0.7893 0.4041 0.1935
F 0.9987 0.9987 0.0000

=====

2.
Starting from a GGA-PBE-relaxed structure, the powder X-ray diffraction pattern of CsRb2F7 was simulated for Cu Kα X-rays.
Neutral-atom scattering factors, no anomalous dispersion.

Main lines, low angle first (2θ from 10° to 90°):
- 2θ = 16.41°, I 34.5
- 2θ = 26.37°, I 100.0
- 2θ = 28.10°, I 43.2
- 2θ = 32.72°, I 22.1
- 2θ = 33.18°, I 12.8
- 2θ = 34.96°, I 28.1
- 2θ = 40.17°, I 35.7
- 2θ = 45.44°, I 22.6
- 2θ = 48.69°, I 34.2
- 2θ = 54.29°, I 27.4
- 2θ = 69.64°, I 11.8
- 2θ = 72.59°, I 12.7

Structure:
Cell lengths 6.8196, 6.8196, 6.8196 Å; angles 124.50, 124.50, 82.36 degrees
Atoms (fractional coordinates):
Cs 0.0000 0.0000 0.0000
Rb 0.2500 0.7500 0.5000
Rb 0.7500 0.2500 0.5000
F 0.2389 0.2389 0.0000
F 0.2798 0.2798 0.5596
F 0.2798 0.7202 0.0000
F 0.5000 0.5000 0.0000
F 0.7202 0.2798 0.0000
F 0.7202 0.7202 0.4404
F 0.7611 0.7611 0.0000

=====

3.
Starting from a GGA-PBE-relaxed structure, the powder X-ray diffraction pattern of Cs2RbRuF6 was simulated for Cu Kα X-rays.
Neutral-atom scattering factors, no anomalous dispersion.

Main lines, low angle first (2θ from 10° to 90°):
- 2θ = 16.27°, I 2.6
- 2θ = 26.72°, I 100.0
- 2θ = 32.87°, I 7.1
- 2θ = 38.14°, I 33.8
- 2θ = 47.18°, I 39.4
- 2θ = 55.04°, I 21.0
- 2θ = 62.21°, I 20.5
- 2θ = 65.62°, I 1.7
- 2θ = 68.93°, I 6.6
- 2θ = 75.36°, I 22.4
- 2θ = 81.61°, I 3.0
- 2θ = 87.75°, I 10.9

Structure:
Cell lengths 6.6761, 6.6761, 6.6761 Å; angles 59.95, 59.95, 59.95 degrees
Atoms (fractional coordinates):
Cs 0.2499 0.2499 0.2499
Cs 0.7501 0.7501 0.7501
Rb 0.0000 0.0000 0.0000
Ru 0.5000 0.5000 0.5000
F 0.2844 0.7154 0.7154
F 0.2846 0.2846 0.7156
F 0.2846 0.7156 0.2846
F 0.7154 0.2844 0.7154
F 0.7154 0.7154 0.2844
F 0.7156 0.2846 0.2846

=====

4.
Starting from a GGA-PBE-relaxed structure, the powder X-ray diffraction pattern of CsRb2RuF6 was simulated for Cu Kα X-rays.
Neutral-atom scattering factors, no anomalous dispersion.

Main lines, low angle first (2θ from 10° to 90°):
- 2θ = 11.48°, I 17.8
- 2θ = 20.67°, I 15.5
- 2θ = 23.08°, I 18.2
- 2θ = 24.96°, I 20.3
- 2θ = 26.42°, I 100.0
- 2θ = 28.84°, I 28.8
- 2θ = 37.25°, I 17.2
- 2θ = 38.16°, I 18.0
- 2θ = 38.50°, I 27.7
- 2θ = 42.65°, I 15.0
- 2θ = 48.03°, I 20.0
- 2θ = 49.64°, I 16.7

Structure:
Cell lengths 6.1926, 9.4331, 7.7088 Å; angles 90.00, 90.00, 90.00 degrees
Atoms (fractional coordinates):
Cs 0.2500 0.2500 0.1720
Cs 0.7500 0.7500 0.8280
Rb 0.2500 0.0398 0.6686
Rb 0.2500 0.4602 0.6686
Rb 0.7500 0.5398 0.3314
Rb 0.7500 0.9602 0.3314
Ru 0.2500 0.7500 0.3180
Ru 0.7500 0.2500 0.6820
F 0.0136 0.7500 0.1368
F 0.0219 0.7500 0.5089
F 0.2500 0.5336 0.3174
F 0.2500 0.9664 0.3174
F 0.4781 0.7500 0.5089
F 0.4864 0.7500 0.1368
F 0.5136 0.2500 0.8632
F 0.5219 0.2500 0.4911
F 0.7500 0.0336 0.6826
F 0.7500 0.4664 0.6826
F 0.9781 0.2500 0.4911
F 0.9864 0.2500 0.8632

=====

5.
Starting from a GGA-PBE-relaxed structure, the powder X-ray diffraction pattern of Cs2RbSiF7 was simulated for Cu Kα X-rays.
Neutral-atom scattering factors, no anomalous dispersion.

Main lines, low angle first (2θ from 10° to 90°):
- 2θ = 25.86°, I 100.0
- 2θ = 27.86°, I 13.5
- 2θ = 29.26°, I 27.1
- 2θ = 29.99°, I 17.0
- 2θ = 30.59°, I 19.8
- 2θ = 33.76°, I 11.6
- 2θ = 34.17°, I 16.2
- 2θ = 37.97°, I 16.4
- 2θ = 38.21°, I 13.1
- 2θ = 42.40°, I 11.7
- 2θ = 42.84°, I 14.3
- 2θ = 49.86°, I 14.0

Structure:
Cell lengths 8.3477, 8.3477, 6.1037 Å; angles 90.00, 90.00, 91.10 degrees
Atoms (fractional coordinates):
Cs 0.0000 0.5000 0.5000
Cs 0.1959 0.8041 0.0000
Cs 0.5000 0.0000 0.5000
Cs 0.8041 0.1959 0.0000
Rb 0.3044 0.3044 0.0000
Rb 0.6956 0.6956 0.0000
Si 0.0000 0.0000 0.5000
Si 0.5000 0.5000 0.5000
F 0.0000 0.5000 0.0000
F 0.1041 0.1041 0.2994
F 0.1041 0.1041 0.7006
F 0.1442 0.8558 0.5000
F 0.3530 0.3530 0.5000
F 0.3985 0.6015 0.2986
F 0.3985 0.6015 0.7014
F 0.5000 0.0000 0.0000
F 0.6015 0.3985 0.2986
F 0.6015 0.3985 0.7014
F 0.6470 0.6470 0.5000
F 0.8558 0.1442 0.5000
F 0.8959 0.8959 0.2994
F 0.8959 0.8959 0.7006

=====

6.
Starting from a GGA-PBE-relaxed structure, the powder X-ray diffraction pattern of CsRb2SiF6 was simulated for Cu Kα X-rays.
Neutral-atom scattering factors, no anomalous dispersion.

Main lines, low angle first (2θ from 10° to 90°):
- 2θ = 15.84°, I 3.9
- 2θ = 26.01°, I 100.0
- 2θ = 30.60°, I 14.0
- 2θ = 37.12°, I 30.2
- 2θ = 40.59°, I 14.7
- 2θ = 45.88°, I 30.8
- 2θ = 48.84°, I 5.4
- 2θ = 53.50°, I 15.8
- 2θ = 60.43°, I 24.5
- 2θ = 66.91°, I 4.2
- 2θ = 73.09°, I 22.4
- 2θ = 84.93°, I 10.9

Structure:
Cell lengths 6.8510, 6.8510, 6.8510 Å; angles 60.00, 60.00, 60.00 degrees
Atoms (fractional coordinates):
Cs 0.0000 0.0000 0.0000
Rb 0.2500 0.2500 0.2500
Rb 0.7500 0.7500 0.7500
Si 0.5000 0.5000 0.5000
F 0.3205 0.3205 0.6795
F 0.3205 0.6795 0.3205
F 0.3205 0.6795 0.6795
F 0.6795 0.3205 0.3205
F 0.6795 0.3205 0.6795
F 0.6795 0.6795 0.3205

=====

7.
Starting from a GGA-PBE-relaxed structure, the powder X-ray diffraction pattern of CsRb2SmF6 was simulated for Cu Kα X-rays.
Neutral-atom scattering factors, no anomalous dispersion.

Main lines, low angle first (2θ from 10° to 90°):
- 2θ = 18.02°, I 23.7
- 2θ = 24.91°, I 46.4
- 2θ = 25.53°, I 100.0
- 2θ = 25.96°, I 95.6
- 2θ = 26.26°, I 43.5
- 2θ = 36.51°, I 46.9
- 2θ = 36.94°, I 22.8
- 2θ = 44.25°, I 22.5
- 2θ = 44.52°, I 19.6
- 2θ = 45.07°, I 23.7
- 2θ = 45.63°, I 27.2
- 2θ = 46.41°, I 36.2

Structure:
Cell lengths 6.7903, 7.1477, 11.7428 Å; angles 90.00, 124.02, 90.00 degrees
Atoms (fractional coordinates):
Cs 0.0000 0.0000 0.0000
Cs 0.0000 0.5000 0.5000
Rb 0.2229 0.0429 0.7338
Rb 0.2229 0.4571 0.2338
Rb 0.7771 0.5429 0.7662
Rb 0.7771 0.9571 0.2662
Sm 0.5000 0.0000 0.5000
Sm 0.5000 0.5000 0.0000
F 0.1838 0.1595 0.4645
F 0.1838 0.3405 0.9645
F 0.2559 0.7470 0.4094
F 0.2559 0.7530 0.9094
F 0.4078 0.0864 0.2898
F 0.4078 0.4136 0.7898
F 0.5922 0.5864 0.2102
F 0.5922 0.9136 0.7102
F 0.7441 0.2470 0.0906
F 0.7441 0.2530 0.5906
F 0.8162 0.6595 0.0355
F 0.8162 0.8405 0.5355

=====

8.
Starting from a GGA-PBE-relaxed structure, the powder X-ray diffraction pattern of Cs2RbSn2F7 was simulated for Cu Kα X-rays.
Neutral-atom scattering factors, no anomalous dispersion.

Main lines, low angle first (2θ from 10° to 90°):
- 2θ = 15.01°, I 11.3
- 2θ = 24.53°, I 50.8
- 2θ = 25.71°, I 63.3
- 2θ = 26.48°, I 100.0
- 2θ = 36.38°, I 50.7
- 2θ = 38.12°, I 15.1
- 2θ = 43.91°, I 13.2
- 2θ = 44.41°, I 16.2
- 2θ = 45.86°, I 11.5
- 2θ = 47.19°, I 14.2
- 2θ = 52.85°, I 10.8
- 2θ = 54.57°, I 11.1

Structure:
Cell lengths 4.9541, 4.9541, 12.1544 Å; angles 99.33, 99.33, 94.17 degrees
Atoms (fractional coordinates):
Cs 0.1692 0.1692 0.3656
Cs 0.8308 0.8308 0.6344
Rb 0.0000 0.0000 0.0000
Sn 0.4167 0.4167 0.8039
Sn 0.5833 0.5833 0.1961
F 0.0048 0.6100 0.1796
F 0.2596 0.2596 0.6109
F 0.3900 0.9952 0.8204
F 0.5000 0.5000 0.0000
F 0.6100 0.0048 0.1796
F 0.7404 0.7404 0.3891
F 0.9952 0.3900 0.8204

=====

9.
Starting from a GGA-PBE-relaxed structure, the powder X-ray diffraction pattern of Cs3Rb2SrF6 was simulated for Cu Kα X-rays.
Neutral-atom scattering factors, no anomalous dispersion.

Main lines, low angle first (2θ from 10° to 90°):
- 2θ = 25.15°, I 37.2
- 2θ = 25.77°, I 100.0
- 2θ = 28.93°, I 92.7
- 2θ = 31.07°, I 40.4
- 2θ = 40.98°, I 15.9
- 2θ = 41.78°, I 15.1
- 2θ = 42.58°, I 29.4
- 2θ = 43.36°, I 29.3
- 2θ = 48.69°, I 14.5
- 2θ = 49.39°, I 26.0
- 2θ = 49.74°, I 12.1
- 2θ = 52.97°, I 21.7

Structure:
Cell lengths 7.4100, 7.4100, 7.3372 Å; angles 97.27, 97.27, 122.18 degrees
Atoms (fractional coordinates):
Cs 0.0000 0.0000 0.0000
Cs 0.3432 0.6568 0.0000
Cs 0.6568 0.3432 0.0000
Rb 0.1690 0.8310 0.5000
Rb 0.8310 0.1690 0.5000
Sr 0.5000 0.5000 0.5000
F 0.1646 0.4375 0.3109
F 0.2760 0.2760 0.7099
F 0.4375 0.1646 0.3109
F 0.5625 0.8354 0.6891
F 0.7240 0.7240 0.2901
F 0.8354 0.5625 0.6891

=====

10.
Starting from a GGA-PBE-relaxed structure, the powder X-ray diffraction pattern of Cs2RbTcF6 was simulated for Cu Kα X-rays.
Neutral-atom scattering factors, no anomalous dispersion.

Main lines, low angle first (2θ from 10° to 90°):
- 2θ = 26.54°, I 100.0
- 2θ = 26.65°, I 49.6
- 2θ = 32.70°, I 11.2
- 2θ = 37.73°, I 17.4
- 2θ = 38.04°, I 33.7
- 2θ = 46.79°, I 20.0
- 2θ = 46.99°, I 39.2
- 2θ = 54.66°, I 21.4
- 2θ = 62.01°, I 20.3
- 2θ = 74.69°, I 11.2
- 2θ = 74.94°, I 11.3
- 2θ = 75.10°, I 11.1

Structure:
Cell lengths 6.7171, 6.7171, 6.7171 Å; angles 120.27, 120.27, 89.54 degrees
Atoms (fractional coordinates):
Cs 0.2500 0.7500 0.5000
Cs 0.7500 0.2500 0.5000
Rb 0.0000 0.0000 0.0000
Tc 0.5000 0.5000 0.0000
F 0.2819 0.2819 0.0000
F 0.2842 0.2842 0.5685
F 0.2842 0.7158 0.0000
F 0.7158 0.2842 0.0000
F 0.7158 0.7158 0.4315
F 0.7181 0.7181 0.0000

=====

11.
Starting from a GGA-PBE-relaxed structure, the powder X-ray diffraction pattern of Cs2RbTeF6 was simulated for Cu Kα X-rays.
Neutral-atom scattering factors, no anomalous dispersion.

Main lines, low angle first (2θ from 10° to 90°):
- 2θ = 23.34°, I 10.2
- 2θ = 24.30°, I 100.0
- 2θ = 25.55°, I 70.2
- 2θ = 33.94°, I 15.9
- 2θ = 35.55°, I 31.8
- 2θ = 40.73°, I 10.3
- 2θ = 42.75°, I 20.7
- 2θ = 43.53°, I 38.2
- 2θ = 47.83°, I 10.0
- 2θ = 49.78°, I 22.3
- 2θ = 56.77°, I 13.5
- 2θ = 67.66°, I 11.9

Structure:
Cell lengths 11.9031, 11.9031, 11.9031 Å; angles 35.85, 35.85, 35.85 degrees
Atoms (fractional coordinates):
Cs 0.1332 0.1332 0.1332
Cs 0.2530 0.2530 0.2530
Cs 0.7470 0.7470 0.7470
Cs 0.8668 0.8668 0.8668
Rb 0.4008 0.4008 0.4008
Rb 0.5992 0.5992 0.5992
Te 0.0000 0.0000 0.0000
Te 0.5000 0.5000 0.5000
F 0.1272 0.6437 0.6437
F 0.1706 0.1706 0.7696
F 0.1706 0.7696 0.1706
F 0.2304 0.8294 0.8294
F 0.3563 0.3563 0.8728
F 0.3563 0.8728 0.3563
F 0.6437 0.1272 0.6437
F 0.6437 0.6437 0.1272
F 0.7696 0.1706 0.1706
F 0.8294 0.2304 0.8294
F 0.8294 0.8294 0.2304
F 0.8728 0.3563 0.3563

=====

- What is the formula in the third record?
  Cs2RbRuF6

=====

- Which formula does entry 10 have?
  Cs2RbTcF6